Structure and computed powder diffractogram of Na2SrMgP2O8 (a PBE-relaxed structure; Cu Kα (λ = 1.5418 Å)).
Intensities are scaled so that the largest is 100.

Cell and atoms:
a b c (Å): 9.2418 5.3353 13.6931
angles (deg): 90.00 90.28 90.00
Positions (direct):
Na  0.0836  0.2276  0.4073
Na  0.0836  0.2724  0.9073
Na  0.4156  0.2302  0.0897
Na  0.4156  0.2698  0.5897
Na  0.5844  0.7302  0.4103
Na  0.5844  0.7698  0.9103
Na  0.9164  0.7276  0.0927
Na  0.9164  0.7724  0.5927
Sr  0.2536  0.6939  0.2500
Sr  0.2536  0.8061  0.7500
Sr  0.7464  0.1939  0.2500
Sr  0.7464  0.3061  0.7500
Mg  0.2494  0.7468  0.9992
Mg  0.2494  0.7532  0.4992
Mg  0.7506  0.2468  0.5008
Mg  0.7506  0.2532  0.0008
P  0.0829  0.2289  0.1317
P  0.0829  0.2711  0.6317
P  0.4189  0.2342  0.3673
P  0.4189  0.2658  0.8673
P  0.5811  0.7342  0.1327
P  0.5811  0.7658  0.6327
P  0.9171  0.7289  0.3683
P  0.9171  0.7711  0.8683
O  0.0767  0.7018  0.4043
O  0.0767  0.7982  0.9043
O  0.0874  0.2117  0.7412
O  0.0874  0.2883  0.2412
O  0.1549  0.0525  0.5738
O  0.1549  0.4475  0.0738
O  0.1656  0.5191  0.6083
O  0.1656  0.9809  0.1083
O  0.3303  0.5066  0.8909
O  0.3303  0.9934  0.3909
O  0.3494  0.0387  0.9220
O  0.3494  0.4613  0.4220
O  0.4214  0.2118  0.7573
O  0.4214  0.2882  0.2573
O  0.4238  0.6996  0.0930
O  0.4238  0.8004  0.5930
O  0.5762  0.1996  0.4070
O  0.5762  0.3004  0.9070
O  0.5786  0.7118  0.7427
O  0.5786  0.7882  0.2427
O  0.6506  0.5387  0.5780
O  0.6506  0.9613  0.0780
O  0.6697  0.0066  0.6091
O  0.6697  0.4934  0.1091
O  0.8344  0.0191  0.8917
O  0.8344  0.4809  0.3917
O  0.8451  0.5525  0.9262
O  0.8451  0.9475  0.4262
O  0.9126  0.7117  0.7588
O  0.9126  0.7883  0.2588
O  0.9233  0.2018  0.0957
O  0.9233  0.2982  0.5957

Most intense lines, 2θ from 10° to 90°, low angle first:
- 19.2°, I 18, (2 0 0)
- 23.2°, I 54, (2 0 -2)
- 32.5°, I 39, (2 0 -4)
- 32.6°, I 46, (1 1 4)
- 33.6°, I 100, (3 1 0)
- 39.5°, I 25, (0 0 6)
- 41.2°, I 15, (4 0 -2)
- 47.4°, I 33, (2 2 -4)
- 47.6°, I 19, (4 0 4)
- 70.6°, I 15, (6 2 0)